The following is a simulated powder X-ray diffraction pattern of Ba2MgCuO3. It was derived from the PBE geometry in the Materials Project, using Cu Ka.
Kinematic intensities with the Lorentz-polarization factor, no thermal factor.

Main lines, most intense first (15° ≤ 2θ ≤ 90°):
2θ 31.7, 2.821 Å, rel. 100; 2θ 24.9, 3.573 Å, rel. 82; 2θ 39.8, 2.265 Å, rel. 68; 2θ 23.6, 3.764 Å, rel. 60; 2θ 35.3, 2.544 Å, rel. 58; 2θ 31.5, 2.838 Å, rel. 50

Crystal structure
```
Ba2MgCuO3
1.0
3.4059 0.0000 0.0000
-0.0290 5.0889 0.0000
-1.6726 -2.5211 7.5281
Ba Mg Cu O
2 1 1 3
Direct
0.0000 0.0000 0.0000
0.2929 0.2874 0.5744
0.1902 0.6956 0.3891
0.5664 0.5653 0.1364
0.4502 0.4454 0.8918
0.6351 0.1339 0.2685
0.7702 0.7749 0.5485
```

---

The following is a simulated powder X-ray diffraction pattern of NaYSn. It was derived from the PBE geometry in the Materials Project, using Cu Ka.
Kinematic intensities with the Lorentz-polarization factor, no thermal factor.

Main lines, most intense first (15° ≤ 2θ ≤ 90°):
2θ 34.8, 2.575 Å, rel. 100; 2θ 21.1, 4.204 Å, rel. 74; 2θ 41.1, 2.196 Å, rel. 40; 2θ 62.5, 1.486 Å, rel. 36; 2θ 50.1, 1.821 Å, rel. 18; 2θ 55.0, 1.671 Å, rel. 17

Crystal structure
```
NaYSn
1.0
0.0000 3.6411 3.6411
3.6411 0.0000 3.6411
3.6411 3.6411 0.0000
Na Y Sn
1 1 1
Direct
0.0000 0.0000 0.0000
0.7500 0.7500 0.7500
0.5000 0.5000 0.5000
```

---

The following is a simulated powder X-ray diffraction pattern of Hf2Zn. It was derived from the PBE geometry in the Materials Project, using Cu Ka.
Kinematic intensities with the Lorentz-polarization factor, no thermal factor.

Main lines, most intense first (15° ≤ 2θ ≤ 90°):
2θ 36.5, 2.459 Å, rel. 100; 2θ 39.1, 2.302 Å, rel. 42; 2θ 69.2, 1.357 Å, rel. 31; 2θ 64.0, 1.455 Å, rel. 18; 2θ 28.5, 3.127 Å, rel. 15; 2θ 56.5, 1.627 Å, rel. 14

Crystal structure
```
Hf2Zn
1.0
-1.6274 1.6274 5.6317
1.6274 -1.6274 5.6317
1.6274 1.6274 -5.6317
Hf Zn
2 1
Direct
0.1590 0.1590 0.0000
0.8410 0.8410 0.0000
0.5000 0.5000 0.0000
```

---

Q: Which formula does entry 1 have?
A: Ba2MgCuO3